[1]
Simulated X-ray diffraction stick pattern
Compound: ZrI4O12
Radiation: Cu Kα X-rays
Structure: the PBE geometry in the Materials Project
Peak positions follow from Bragg's law for the DFT cell and can differ from measured ones.

Cell and atoms:
Unit cell a=8.5294 b=8.5294 c=7.5430 alpha=90.00 beta=90.00 gamma=90.00
Element x y z (fractional)
Zr (0.2500, 0.2500, 0.0545)
Zr (0.7500, 0.7500, 0.9455)
I (0.0044, 0.4717, 0.7277)
I (0.0283, 0.0044, 0.7277)
I (0.4717, 0.4956, 0.7277)
I (0.4956, 0.0283, 0.7277)
I (0.5044, 0.9717, 0.2723)
I (0.5283, 0.5044, 0.2723)
I (0.9717, 0.9956, 0.2723)
I (0.9956, 0.5283, 0.2723)
O (0.0058, 0.8494, 0.4455)
O (0.0432, 0.3224, 0.2173)
O (0.0456, 0.1610, 0.9013)
O (0.1506, 0.5058, 0.5545)
O (0.1610, 0.4544, 0.9013)
O (0.1776, 0.0432, 0.2173)
O (0.3224, 0.4568, 0.2173)
O (0.3390, 0.0456, 0.9013)
O (0.3494, 0.9942, 0.5545)
O (0.4544, 0.3390, 0.9013)
O (0.4568, 0.1776, 0.2173)
O (0.4942, 0.6506, 0.4455)
O (0.5058, 0.3494, 0.5545)
O (0.5432, 0.8224, 0.7827)
O (0.5456, 0.6610, 0.0987)
O (0.6506, 0.0058, 0.4455)
O (0.6610, 0.9544, 0.0987)
O (0.6776, 0.5432, 0.7827)
O (0.8224, 0.9568, 0.7827)
O (0.8390, 0.5456, 0.0987)
O (0.8494, 0.4942, 0.4455)
O (0.9544, 0.8390, 0.0987)
O (0.9568, 0.6776, 0.7827)
O (0.9942, 0.1506, 0.5545)

Peak list (12 most intense, 5° ≤ 2θ ≤ 70°, in order of falling intensity)
2θ = 20.83°, rel. 100, (2 0 0)
2θ = 31.67°, rel. 98, (2 0 2)
2θ = 29.62°, rel. 49, (2 2 0)
2θ = 53.87°, rel. 38, (4 2 2)
2θ = 23.59°, rel. 30, (0 0 2)
2θ = 38.21°, rel. 29, (2 2 2)
2θ = 42.39°, rel. 23, (4 0 0)
2θ = 53.13°, rel. 22, (2 0 4)
2θ = 23.97°, rel. 20, (2 0 1)
2θ = 14.69°, rel. 20, (1 1 0)
2θ = 18.84°, rel. 15, (1 1 1)
2θ = 57.66°, rel. 13, (2 2 4)


[2]
Simulated X-ray diffraction stick pattern
Compound: Y3AlFeS7
Radiation: Cu Kα X-rays
Structure: the PBE geometry in the Materials Project
Peak positions follow from Bragg's law for the DFT cell and can differ from measured ones.

Cell and atoms:
Unit cell a=9.5170 b=9.5170 c=6.1960 alpha=90.00 beta=90.00 gamma=120.00
Element x y z (fractional)
Y (0.1529, 0.7784, 0.0000)
Y (0.2216, 0.3745, 0.0000)
Y (0.3745, 0.1529, 0.5000)
Y (0.6255, 0.8471, 0.0000)
Y (0.7784, 0.6255, 0.5000)
Y (0.8471, 0.2216, 0.5000)
Al (0.3333, 0.6667, 0.5726)
Al (0.6667, 0.3333, 0.0726)
Fe (0.0000, 0.0000, 0.1519)
Fe (0.0000, 0.0000, 0.6519)
S (0.0889, 0.5189, 0.7268)
S (0.0917, 0.8765, 0.3973)
S (0.1235, 0.2152, 0.3973)
S (0.2152, 0.0917, 0.8973)
S (0.3333, 0.6667, 0.2115)
S (0.4300, 0.9111, 0.7268)
S (0.4811, 0.5700, 0.7268)
S (0.5189, 0.4300, 0.2268)
S (0.5700, 0.0889, 0.2268)
S (0.6667, 0.3333, 0.7115)
S (0.7848, 0.9083, 0.3973)
S (0.8765, 0.7848, 0.8973)
S (0.9083, 0.1235, 0.8973)
S (0.9111, 0.4811, 0.2268)

Peak list (12 most intense, 5° ≤ 2θ ≤ 70°, in order of falling intensity)
2θ = 25.97°, rel. 100, (2 0 1)
2θ = 36.28°, rel. 55, (2 0 2)
2θ = 37.81°, rel. 51, (2 2 0)
2θ = 35.75°, rel. 49, (3 0 1)
2θ = 41.09°, rel. 43, (2 1 2)
2θ = 17.91°, rel. 40, (1 0 1)
2θ = 10.73°, rel. 39, (1 0 0)
2θ = 49.36°, rel. 33, (2 0 3)
2θ = 32.16°, rel. 33, (2 1 1)
2θ = 42.14°, rel. 32, (1 3 1)
2θ = 34.55°, rel. 25, (1 1 2)
2θ = 28.66°, rel. 24, (2 1 0)